Al5Ni7: calculated PXRD pattern (Cu Kα X-rays), based on a DFT-relaxed cell (GGA-PBE, OQMD).
Peak positions follow from Bragg's law for the DFT cell and can differ from measured ones.

Principal peaks in the range 10 to 80 degrees two-theta, by angle:
two_theta, I (rel.)
11.6, 25
22.2, 50
37.5, 37
41.7, 53
44.1, 16
44.7, 100
45.3, 53
47.1, 22
47.3, 45
53.4, 21
70.6, 17
72.7, 21

Crystal structure
Lattice parameters (Å, degrees): 4.7910 4.7910 15.2579 90.00 90.00 120.00
Space group P6_3/mmc (No. 194)
Inequivalent atoms, fractional coordinates:
Al 0.0000 0.5000 0.0000 (multiplicity 6)
Al 0.3333 0.6667 0.1620 (multiplicity 4)
Ni 0.0000 0.0000 0.0885 (multiplicity 4)
Ni 0.1624 0.3248 0.7500 (multiplicity 6)
Ni 0.3333 0.6667 0.6240 (multiplicity 4)